Diffraction record for LaSm2TcN4. The powder diffraction line list is calculated, not measured: it uses the PBE geometry in Alexandria and λ = 1.5418 Å (Cu Kα).

Crystal structure
a b c (Å): 3.5374 12.0141 11.9228
angles (deg): 90.00 90.00 90.00
Space group Cmcm (No. 63)
One atom of each set of equivalent atoms:
La 0.0000 0.1186 0.2500 [4 per cell]
Sm 0.0000 0.3684 0.0405 [8 per cell]
Tc 0.0000 0.1477 0.7500 [4 per cell]
N 0.0000 0.0000 0.0000 [4 per cell]
N 0.0000 0.2661 0.6313 [8 per cell]
N 0.0000 0.4287 0.2500 [4 per cell]

Peak list (6 most intense, 10° ≤ 2θ ≤ 90°, in order of rising 2θ)
two_theta, d (Å), I_rel, index
26.90, 3.315, 37, 0 2 3
29.75, 3.004, 62, 0 4 0
29.98, 2.981, 42, 0 0 4
30.31, 2.949, 100, 1 1 2
37.11, 2.422, 97, 1 3 2
42.74, 2.116, 30, 0 4 4

---

Diffraction record for Tl2IrRhO8. The powder diffraction line list is calculated, not measured: it uses the PBE geometry in Alexandria and λ = 1.5418 Å (Cu Kα).

Crystal structure
a b c (Å): 4.8633 6.5319 4.9921
angles (deg): 90.00 92.08 90.00
Space group P2/m (No. 10)
One atom of each set of equivalent atoms:
Tl 0.0000 0.2487 0.0000 [2 per cell]
Ir 0.5000 0.5000 0.5000 [1 per cell]
Rh 0.5000 0.0000 0.5000 [1 per cell]
O 0.2422 0.0000 0.1933 [2 per cell]
O 0.2444 0.5000 0.1972 [2 per cell]
O 0.3107 0.2547 0.6486 [4 per cell]

Peak list (6 most intense, 10° ≤ 2θ ≤ 90°, in order of rising 2θ)
two_theta, d (Å), I_rel, index
25.11, 3.546, 100, 1 0 -1
26.06, 3.420, 84, 1 0 1
32.77, 2.732, 77, 0 2 1
33.05, 2.711, 84, 1 2 0
49.13, 1.854, 33, 1 2 -2
49.71, 1.834, 36, 2 2 -1

---

Please write out number 2 again, unchanged.
Diffraction record for Tl2IrRhO8. The powder diffraction line list is calculated, not measured: it uses the PBE geometry in Alexandria and λ = 1.5418 Å (Cu Kα).

Crystal structure
a b c (Å): 4.8633 6.5319 4.9921
angles (deg): 90.00 92.08 90.00
Space group P2/m (No. 10)
One atom of each set of equivalent atoms:
Tl 0.0000 0.2487 0.0000 [2 per cell]
Ir 0.5000 0.5000 0.5000 [1 per cell]
Rh 0.5000 0.0000 0.5000 [1 per cell]
O 0.2422 0.0000 0.1933 [2 per cell]
O 0.2444 0.5000 0.1972 [2 per cell]
O 0.3107 0.2547 0.6486 [4 per cell]

Peak list (6 most intense, 10° ≤ 2θ ≤ 90°, in order of rising 2θ)
two_theta, d (Å), I_rel, index
25.11, 3.546, 100, 1 0 -1
26.06, 3.420, 84, 1 0 1
32.77, 2.732, 77, 0 2 1
33.05, 2.711, 84, 1 2 0
49.13, 1.854, 33, 1 2 -2
49.71, 1.834, 36, 2 2 -1

---

What did the second record say?
Diffraction record for Tl2IrRhO8. The powder diffraction line list is calculated, not measured: it uses the PBE geometry in Alexandria and λ = 1.5418 Å (Cu Kα).

Crystal structure
a b c (Å): 4.8633 6.5319 4.9921
angles (deg): 90.00 92.08 90.00
Space group P2/m (No. 10)
One atom of each set of equivalent atoms:
Tl 0.0000 0.2487 0.0000 [2 per cell]
Ir 0.5000 0.5000 0.5000 [1 per cell]
Rh 0.5000 0.0000 0.5000 [1 per cell]
O 0.2422 0.0000 0.1933 [2 per cell]
O 0.2444 0.5000 0.1972 [2 per cell]
O 0.3107 0.2547 0.6486 [4 per cell]

Peak list (6 most intense, 10° ≤ 2θ ≤ 90°, in order of rising 2θ)
two_theta, d (Å), I_rel, index
25.11, 3.546, 100, 1 0 -1
26.06, 3.420, 84, 1 0 1
32.77, 2.732, 77, 0 2 1
33.05, 2.711, 84, 1 2 0
49.13, 1.854, 33, 1 2 -2
49.71, 1.834, 36, 2 2 -1